(1)
Structure and computed X-ray powder pattern of Li2Cr3CuO8 (DFT lattice parameters and positions (GGA+U); Cu Kα (λ = 1.5418 Å)).
Neutral-atom scattering factors, no anomalous dispersion.

Structure:
```
56
Lattice="8.315 0.000 0.000 0.000 8.358 0.000 -0.005 0.000 8.347" Properties=species:S:1:pos:R:3 pbc="T T T"
Li 0.016 0.000 2.094
Li 2.062 2.071 0.029
Li 2.100 6.268 4.183
Li 4.136 8.339 6.233
Li 4.174 4.160 2.115
Li 6.209 2.089 4.165
Li 6.248 6.250 8.318
Li 8.294 4.179 6.253
Cr 1.000 1.043 5.222
Cr 1.007 3.131 3.145
Cr 1.042 5.231 1.072
Cr 3.084 5.209 7.301
Cr 3.098 3.141 5.216
Cr 3.126 7.294 1.013
Cr 5.184 3.115 7.334
Cr 5.212 7.320 3.132
Cr 5.226 1.030 1.046
Cr 7.268 1.052 7.276
Cr 7.309 5.222 3.125
Cr 7.302 7.310 5.202
Cu 1.047 7.303 7.305
Cu 3.120 1.030 3.128
Cu 5.190 5.209 5.219
Cu 7.263 3.124 1.042
O 0.881 7.449 5.250
O 0.900 5.115 3.093
O 0.955 0.963 7.133
O 0.998 3.228 1.243
O 1.090 1.166 3.311
O 1.149 3.046 5.111
O 1.171 7.210 0.978
O 1.203 5.263 7.445
O 2.926 1.142 5.157
O 2.955 3.045 3.213
O 3.031 5.305 0.934
O 3.099 7.124 7.389
O 3.184 3.263 7.215
O 3.191 5.111 5.335
O 3.290 0.947 1.119
O 3.315 7.332 3.013
O 4.995 3.153 5.335
O 5.019 5.126 7.228
O 5.119 0.932 3.012
O 5.126 7.442 1.132
O 5.211 2.945 0.958
O 5.279 1.126 7.414
O 5.355 7.224 5.134
O 5.384 5.321 3.190
O 7.107 1.084 0.902
O 7.138 3.031 7.369
O 7.161 7.225 3.237
O 7.220 5.345 5.036
O 7.311 7.407 7.104
O 7.355 5.142 1.214
O 7.410 0.936 5.254
O 7.429 3.270 3.098
```

Largest 10 diffraction maxima, low angle first, 10° ≤ 2θ ≤ 80°:
| 2θ (°) | Rel. int. |
| --- | --- |
| 18.43 | 100 |
| 35.67 | 32 |
| 35.79 | 15 |
| 37.35 | 11 |
| 43.33 | 37 |
| 43.54 | 18 |
| 57.33 | 12 |
| 62.95 | 11 |
| 63.11 | 21 |
| 79.65 | 8 |



(2)
Structure and computed X-ray powder pattern of Li2Cr3CuO8 (DFT lattice parameters and positions (GGA+U); Cu Kα (λ = 1.5418 Å)).
Neutral-atom scattering factors, no anomalous dispersion.

Structure:
```
56
Lattice="8.352 0.000 0.000 0.050 8.357 0.000 0.019 0.040 8.383" Properties=species:S:1:pos:R:3 pbc="T T T"
Li 0.000 0.000 0.000
Li 0.043 4.199 4.204
Li 2.096 6.281 6.277
Li 2.082 2.109 2.056
Li 4.178 4.166 0.009
Li 4.243 8.355 4.176
Li 6.253 6.275 2.071
Li 6.267 2.106 6.270
Cr 1.062 7.297 3.123
Cr 1.062 5.211 1.024
Cr 1.060 1.065 5.201
Cr 3.118 1.085 7.326
Cr 3.152 7.306 1.026
Cr 3.142 3.174 5.247
Cr 5.211 5.237 5.260
Cr 5.223 3.151 3.116
Cr 5.257 7.337 7.326
Cr 7.315 3.131 1.046
Cr 7.338 5.270 7.327
Cr 7.311 1.042 3.117
Cu 1.063 3.162 7.329
Cu 3.134 5.221 3.134
Cu 5.218 1.036 1.015
Cu 7.352 7.319 5.231
O 0.865 3.233 0.968
O 0.899 0.933 3.184
O 0.936 5.176 7.434
O 1.032 7.434 5.037
O 1.133 7.208 1.211
O 1.193 5.323 3.037
O 1.224 1.091 7.192
O 1.232 3.064 5.329
O 3.019 7.146 3.062
O 3.010 5.340 1.064
O 3.072 1.221 5.308
O 3.131 2.992 7.222
O 3.220 5.053 5.236
O 3.201 0.938 0.910
O 3.220 3.306 3.236
O 3.259 7.494 7.403
O 5.071 3.217 5.122
O 5.073 5.147 3.257
O 5.076 0.920 7.355
O 5.125 7.361 0.851
O 5.343 7.239 5.408
O 5.340 5.412 7.272
O 5.396 1.155 3.062
O 5.403 3.044 1.111
O 7.206 5.260 5.419
O 7.234 7.192 7.297
O 7.254 3.045 2.981
O 7.276 1.164 1.194
O 7.366 3.315 7.467
O 7.398 5.128 0.891
O 7.404 0.981 5.042
O 7.485 7.415 3.180
```

Largest 10 diffraction maxima, low angle first, 10° ≤ 2θ ≤ 80°:
| 2θ (°) | Rel. int. |
| --- | --- |
| 18.33 | 100 |
| 18.41 | 93 |
| 35.51 | 30 |
| 35.61 | 39 |
| 35.71 | 22 |
| 37.30 | 16 |
| 43.16 | 36 |
| 43.32 | 70 |
| 62.68 | 21 |
| 62.94 | 21 |



(3)
Structure and computed X-ray powder pattern of Li2CrCuP2O8 (DFT lattice parameters and positions (GGA+U); Cu Kα (λ = 1.5418 Å)).
Neutral-atom scattering factors, no anomalous dispersion.

Structure:
```
28
Lattice="4.767 0.000 0.000 0.000 6.128 0.000 -0.003 0.000 10.187" Properties=species:S:1:pos:R:3 pbc="T T T"
Li 0.000 0.000 0.000
Li 0.000 3.064 0.000
Li 2.382 0.000 5.093
Li 2.382 3.064 5.093
Cr 0.087 1.532 7.334
Cr 4.677 4.596 2.853
Cu 2.183 1.532 2.206
Cu 2.581 4.596 7.981
P 0.367 4.596 6.031
P 1.976 4.596 0.980
P 2.788 1.532 9.207
P 4.396 1.532 4.156
O 0.978 4.596 4.577
O 0.987 3.334 6.721
O 0.987 5.858 6.721
O 1.160 1.532 4.152
O 1.243 1.532 9.125
O 1.301 3.382 1.717
O 1.301 5.811 1.717
O 1.446 4.596 9.717
O 3.318 1.532 0.470
O 3.463 0.318 8.470
O 3.463 2.747 8.470
O 3.520 4.596 1.062
O 3.603 4.596 6.035
O 3.776 0.270 3.466
O 3.776 2.794 3.466
O 3.786 1.532 5.610
```

Largest 10 diffraction maxima, low angle first, 10° ≤ 2θ ≤ 80°:
| 2θ (°) | Rel. int. |
| --- | --- |
| 17.41 | 35 |
| 20.57 | 65 |
| 25.23 | 87 |
| 29.14 | 72 |
| 32.37 | 30 |
| 35.61 | 100 |
| 35.94 | 33 |
| 38.27 | 21 |
| 51.81 | 38 |
| 55.96 | 25 |



(4)
Structure and computed X-ray powder pattern of Li4Cr3Cu2Sb3O16 (DFT lattice parameters and positions (GGA+U); Cu Kα (λ = 1.5418 Å)).
Neutral-atom scattering factors, no anomalous dispersion.

Structure:
```
28
Lattice="5.244 -3.056 0.000 5.244 3.056 0.000 -0.080 0.000 9.920" Properties=species:S:1:pos:R:3 pbc="T T T"
Li 0.000 0.000 0.000
Li -0.024 0.000 4.855
Li 3.516 0.000 8.885
Li 7.042 0.000 3.707
Cr 4.434 1.510 2.105
Cr 4.434 -1.510 2.105
Cr 8.811 0.000 7.067
Cu 3.702 0.000 4.708
Cu 7.171 0.000 0.245
Sb 1.856 0.000 2.109
Sb 6.225 1.512 7.071
Sb 6.225 -1.512 7.071
O 0.084 0.000 3.077
O 0.085 0.000 8.103
O 2.765 1.376 3.260
O 1.719 0.000 5.943
O 4.565 1.620 5.984
O 6.167 1.646 0.993
O 3.567 0.000 1.021
O 2.765 -1.376 3.260
O 5.125 0.000 3.228
O 7.862 1.414 8.146
O 5.455 0.000 8.194
O 7.081 0.000 5.952
O 4.565 -1.620 5.984
O 8.924 0.000 1.038
O 6.167 -1.646 0.993
O 7.862 -1.414 8.146
```

Largest 10 diffraction maxima, low angle first, 10° ≤ 2θ ≤ 80°:
| 2θ (°) | Rel. int. |
| --- | --- |
| 17.88 | 100 |
| 19.05 | 85 |
| 24.59 | 25 |
| 31.99 | 18 |
| 34.50 | 36 |
| 35.17 | 59 |
| 43.79 | 23 |
| 43.95 | 30 |
| 58.05 | 24 |
| 61.07 | 26 |



(5)
Structure and computed X-ray powder pattern of Li4Cr2Cu3Sb3O16 (DFT lattice parameters and positions (GGA+U); Cu Kα (λ = 1.5418 Å)).
Neutral-atom scattering factors, no anomalous dispersion.

Structure:
```
28
Lattice="5.310 -3.008 0.000 5.310 3.008 0.000 -0.331 0.000 9.628" Properties=species:S:1:pos:R:3 pbc="T T T"
Li 0.000 0.000 0.000
Li 0.114 0.000 5.051
Li 3.345 0.000 5.972
Li 7.018 0.000 0.969
Cr 3.353 0.000 0.093
Cr 6.753 0.000 5.076
Cu 1.635 0.000 2.748
Cu 5.869 1.484 7.641
Cu 5.869 -1.484 7.641
Sb 4.254 1.489 2.813
Sb 4.254 -1.489 2.813
Sb 8.454 0.000 7.602
O 2.672 1.352 1.602
O 3.921 1.549 8.777
O 1.337 0.000 8.797
O 5.933 1.540 3.884
O 3.506 0.000 3.937
O 4.995 0.000 1.589
O 2.672 -1.352 1.602
O 5.289 0.000 6.366
O 7.654 1.317 6.288
O 3.921 -1.549 8.777
O 6.735 0.000 8.633
O 5.933 -1.540 3.884
O 8.742 0.000 3.901
O 7.654 -1.317 6.288
O 10.343 0.000 1.773
O 10.263 0.000 6.771
```

Largest 10 diffraction maxima, low angle first, 10° ≤ 2θ ≤ 80°:
| 2θ (°) | Rel. int. |
| --- | --- |
| 18.43 | 100 |
| 18.82 | 30 |
| 19.16 | 39 |
| 19.42 | 34 |
| 34.30 | 31 |
| 35.37 | 64 |
| 35.70 | 31 |
| 44.29 | 29 |
| 45.07 | 35 |
| 60.74 | 26 |



(6)
Structure and computed X-ray powder pattern of Li4Cr3Cu3Sb2O16 (DFT lattice parameters and positions (GGA+U); Cu Kα (λ = 1.5418 Å)).
Neutral-atom scattering factors, no anomalous dispersion.

Structure:
```
28
Lattice="5.162 -2.966 0.000 5.162 2.966 0.000 -0.184 0.000 9.626" Properties=species:S:1:pos:R:3 pbc="T T T"
Li 0.000 0.000 0.000
Li -0.080 0.000 4.842
Li 3.391 0.000 3.975
Li 6.692 0.000 8.778
Cr 1.636 0.000 6.982
Cr 6.019 1.455 2.160
Cr 6.019 -1.455 2.160
Cu 4.153 1.457 6.964
Cu 4.153 -1.457 6.964
Cu 8.543 0.000 2.165
Sb 3.273 0.000 9.623
Sb 6.821 0.000 4.798
O -0.137 0.000 7.815
O -0.002 0.000 3.040
O 2.488 1.319 8.252
O 1.720 0.000 1.037
O 4.326 1.503 0.996
O 3.315 0.000 5.986
O 5.959 1.496 5.818
O 2.488 -1.319 8.252
O 4.790 0.000 8.224
O 7.593 1.330 3.414
O 5.305 0.000 3.395
O 6.829 0.000 1.140
O 4.326 -1.503 0.996
O 5.959 -1.496 5.818
O 8.558 0.000 5.799
O 7.593 -1.330 3.414
```

Largest 10 diffraction maxima, low angle first, 10° ≤ 2θ ≤ 80°:
| 2θ (°) | Rel. int. |
| --- | --- |
| 19.36 | 28 |
| 19.49 | 62 |
| 19.66 | 100 |
| 25.49 | 29 |
| 32.76 | 25 |
| 35.19 | 33 |
| 35.56 | 32 |
| 35.73 | 33 |
| 36.24 | 33 |
| 62.41 | 32 |



(7)
Structure and computed X-ray powder pattern of Li4Ti3Cr3Cu2O16 (DFT lattice parameters and positions (GGA+U); Cu Kα (λ = 1.5418 Å)).
Neutral-atom scattering factors, no anomalous dispersion.

Structure:
```
28
Lattice="5.800 0.000 0.000 2.867 5.050 0.000 0.027 0.022 9.745" Properties=species:S:1:pos:R:3 pbc="T T T"
Li 0.000 0.000 0.000
Li 0.044 0.040 4.888
Li 2.873 1.668 5.871
Li 5.759 3.366 0.999
Ti 2.868 3.347 2.764
Ti 4.310 0.845 2.750
Ti 7.223 4.139 7.543
Cr 1.459 0.865 2.770
Cr 4.359 4.185 7.668
Cr 5.723 1.712 7.712
Cu 2.886 1.698 0.031
Cu 5.771 3.367 4.926
O 5.806 0.010 1.775
O 5.823 0.028 6.675
O 1.546 2.410 1.655
O 1.366 0.817 8.631
O 2.910 3.455 8.703
O 4.279 4.286 3.819
O 2.895 1.693 3.859
O 2.853 0.171 1.646
O 4.185 2.449 1.639
O 5.736 4.873 6.525
O 4.476 2.606 6.591
O 5.783 3.373 8.719
O 4.422 0.853 8.705
O 7.298 4.260 3.831
O 5.827 1.618 3.817
O 7.068 2.592 6.512
```

Largest 10 diffraction maxima, low angle first, 10° ≤ 2θ ≤ 80°:
| 2θ (°) | Rel. int. |
| --- | --- |
| 18.21 | 60 |
| 19.83 | 100 |
| 25.42 | 31 |
| 32.79 | 40 |
| 35.85 | 28 |
| 35.98 | 25 |
| 36.79 | 30 |
| 45.58 | 27 |
| 60.03 | 26 |
| 64.20 | 28 |



(8)
Structure and computed X-ray powder pattern of Li2V4CrCuO12 (DFT lattice parameters and positions (GGA+U); Cu Kα (λ = 1.5418 Å)).
Neutral-atom scattering factors, no anomalous dispersion.

Structure:
```
20
Lattice="5.436 -4.289 0.000 5.436 4.289 0.000 -2.197 0.000 5.206" Properties=species:S:1:pos:R:3 pbc="T T T"
Li 0.000 0.000 0.000
Li 4.337 -0.404 2.603
V 1.248 1.069 2.820
V 0.889 -1.439 5.118
V 7.427 1.069 2.385
V 7.786 -1.439 0.088
Cr 4.337 2.642 2.603
Cu 5.436 1.092 0.000
O 4.020 2.768 0.615
O 0.305 -0.283 2.264
O 3.062 1.148 3.023
O 4.655 2.768 4.591
O 1.407 0.195 4.795
O 5.613 1.148 2.182
O 3.098 -1.767 1.665
O 1.944 -2.509 4.239
O 7.268 0.195 0.410
O 5.577 -1.767 3.541
O 8.370 -0.283 2.942
O 6.731 -2.509 0.967
```

Largest 10 diffraction maxima, low angle first, 10° ≤ 2θ ≤ 80°:
| 2θ (°) | Rel. int. |
| --- | --- |
| 13.59 | 43 |
| 18.94 | 33 |
| 20.71 | 14 |
| 28.41 | 100 |
| 28.69 | 43 |
| 34.46 | 32 |
| 36.05 | 29 |
| 40.44 | 19 |
| 52.90 | 21 |
| 53.16 | 13 |